Entry 1:
PdC2N4O4: calculated powder X-ray diffraction pattern (Cu Kα (weighted mean of Kα1 and Kα2)), based on a crystal structure in the Materials Project, relaxed with PBE.
No peak broadening, texture or thermal motion is included.

The 10 most intense peaks (2θ from 5° to 70°), most intense first:
2θ/deg, Rel. int.
11.08, 100
14.15, 71
17.99, 63
26.60, 57
22.63, 52
11.75, 51
24.16, 51
23.64, 47
27.48, 46
27.64, 38

Structure:
abc: 3.9299 7.8167 8.2354
angles: 102.85 94.04 97.73
Fractional positions:
1 Pd 0.0000 0.0000 0.0000
2 C 0.4557 0.4080 0.6770
3 C 0.5443 0.5920 0.3230
4 N 0.0552 0.7606 0.0423
5 N 0.0884 0.9107 0.7599
6 N 0.9116 0.0893 0.2401
7 N 0.9448 0.2394 0.9577
8 O 0.4462 0.5529 0.7548
9 O 0.4656 0.2641 0.5977
10 O 0.5344 0.7359 0.4023
11 O 0.5538 0.4471 0.2452

***

Entry 2:
K2Fe2SeS3: calculated powder X-ray diffraction pattern (Cu Kα (weighted mean of Kα1 and Kα2)), based on a crystal structure in the Materials Project, relaxed with PBE.
No peak broadening, texture or thermal motion is included.

The 10 most intense peaks (2θ from 5° to 70°), most intense first:
2θ/deg, Rel. int.
15.61, 100
30.68, 49
27.26, 34
27.10, 30
35.51, 14
40.98, 14
40.63, 12
47.88, 10
31.55, 9
53.42, 9

Structure:
abc: 5.4522 6.6824 6.6970
angles: 116.08 101.02 101.89
Fractional positions:
1 K 0.0000 0.0000 0.0000
2 K 0.4999 0.2734 0.7108
3 Fe 0.0040 0.6356 0.3691
4 Fe 0.5122 0.6454 0.3623
5 Se 0.1565 0.5537 0.0456
6 S 0.3531 0.7248 0.6546
7 S 0.6566 0.3450 0.2805
8 S 0.8596 0.9363 0.4542